Calculated powder X-ray diffraction pattern
Compound: SrLaCdAg
Radiation: CuKα
Structure: a crystal structure in Alexandria, relaxed with PBE

Most intense lines, 2θ = 10–90°, sorted by position:
2θ = 32.1°, d 2.787, I 100
2θ = 32.2°, d 2.778, I 51
2θ = 45.9°, d 1.977, I 8
2θ = 46.2°, d 1.964, I 18
2θ = 57.2°, d 1.611, I 17
2θ = 57.4°, d 1.605, I 37
2θ = 67.2°, d 1.394, I 10
2θ = 76.7°, d 1.243, I 16

Structural model:
```
SrLaCdAg
1.0
3.928 0.000 0.000
0.000 3.928 0.000
0.000 0.000 7.910
Sr La Cd Ag
1 1 1 1
Direct
0.000 0.000 0.000
0.000 0.000 0.483
0.500 0.500 0.727
0.500 0.500 0.262
```

---

Calculated powder X-ray diffraction pattern
Compound: Na3In5Pb3
Radiation: CuKα
Structure: a crystal structure in Alexandria, relaxed with PBE

Most intense lines, 2θ = 10–90°, sorted by position:
2θ = 16.4°, d 5.409, I 100
2θ = 29.4°, d 3.039, I 53
2θ = 33.1°, d 2.704, I 24
2θ = 33.8°, d 2.649, I 84
2θ = 38.8°, d 2.321, I 11
2θ = 42.4°, d 2.133, I 20
2θ = 44.9°, d 2.020, I 34
2θ = 59.6°, d 1.551, I 17

Structural model:
```
Na3In5Pb3
1.0
9.283 0.000 0.000
-4.642 8.040 0.000
0.000 0.000 5.409
Na In Pb
3 5 3
Direct
0.000 0.592 0.000
0.408 0.408 0.000
0.592 0.000 0.000
0.000 0.383 0.500
0.333 0.667 0.500
0.383 0.000 0.500
0.617 0.617 0.500
0.667 0.333 0.500
0.000 0.799 0.500
0.201 0.201 0.500
0.799 0.000 0.500
```

---

Calculated powder X-ray diffraction pattern
Compound: NaTbF4
Radiation: CuKα
Structure: a crystal structure in Alexandria, relaxed with PBE

Most intense lines, 2θ = 10–90°, sorted by position:
2θ = 15.9°, d 5.567, I 60
2θ = 23.1°, d 3.846, I 43
2θ = 28.2°, d 3.164, I 100
2θ = 36.8°, d 2.444, I 23
2θ = 40.0°, d 2.255, I 21
2θ = 46.7°, d 1.945, I 48
2θ = 47.3°, d 1.923, I 24
2θ = 56.0°, d 1.643, I 29

Structural model:
```
NaTbF4
1.0
3.846 0.000 0.000
0.000 3.846 0.000
0.000 0.000 5.567
Na Tb F
1 1 4
Direct
0.000 0.000 0.000
0.500 0.500 0.500
0.000 0.500 0.269
0.000 0.500 0.731
0.500 0.000 0.269
0.500 0.000 0.731
```

---

Calculated powder X-ray diffraction pattern
Compound: K2TcIBr6
Radiation: CuKα
Structure: a crystal structure in Alexandria, relaxed with PBE

Most intense lines, 2θ = 10–90°, sorted by position:
2θ = 14.1°, d 6.277, I 70
2θ = 15.1°, d 5.869, I 80
2θ = 23.7°, d 3.755, I 69
2θ = 26.2°, d 3.399, I 64
2θ = 27.2°, d 3.283, I 100
2θ = 29.4°, d 3.038, I 61
2θ = 31.1°, d 2.880, I 95
2θ = 34.7°, d 2.587, I 73

Structural model:
```
K2TcIBr6
1.0
7.282 0.000 0.000
-3.180 6.873 0.000
-3.500 -2.350 7.422
K Tc I Br
2 1 1 6
Direct
0.000 0.000 0.000
0.123 0.502 0.589
0.615 0.700 0.326
0.345 0.184 0.791
0.034 0.891 0.404
0.183 0.492 0.217
0.511 0.797 0.035
0.596 0.380 0.194
0.649 0.008 0.495
0.719 0.604 0.622
```

---

Calculated powder X-ray diffraction pattern
Compound: Li2Ga3Cu8
Radiation: CuKα
Structure: a crystal structure in Alexandria, relaxed with PBE

Most intense lines, 2θ = 10–90°, sorted by position:
2θ = 19.3°, d 4.609, I 35
2θ = 31.2°, d 2.868, I 53
2θ = 42.0°, d 2.153, I 93
2θ = 43.9°, d 2.061, I 100
2θ = 45.4°, d 1.996, I 80
2θ = 46.6°, d 1.951, I 37
2θ = 48.0°, d 1.895, I 58
2θ = 70.5°, d 1.335, I 36

Structural model:
```
Li2Ga3Cu8
1.0
2.407 1.390 9.218
-2.407 1.390 9.218
0.000 -2.779 9.218
Li Ga Cu
2 3 8
Direct
0.140 0.140 0.140
0.860 0.860 0.860
0.316 0.316 0.316
0.500 0.500 0.500
0.684 0.684 0.684
0.229 0.229 0.229
0.229 0.229 0.729
0.229 0.729 0.229
0.271 0.771 0.771
0.729 0.229 0.229
0.771 0.271 0.771
0.771 0.771 0.271
0.771 0.771 0.771
```

---

Calculated powder X-ray diffraction pattern
Compound: Pr3Nd8Mg
Radiation: CuKα
Structure: a crystal structure in Alexandria, relaxed with PBE

Most intense lines, 2θ = 10–90°, sorted by position:
2θ = 28.8°, d 3.103, I 26
2θ = 30.1°, d 2.971, I 73
2θ = 30.7°, d 2.913, I 100
2θ = 31.0°, d 2.883, I 39
2θ = 33.1°, d 2.705, I 86
2θ = 33.4°, d 2.680, I 35
2θ = 49.9°, d 1.827, I 35
2θ = 59.4°, d 1.557, I 32

Structural model:
```
Pr3Nd8Mg
1.0
3.701 0.000 0.000
-1.839 9.454 0.000
-0.014 -4.205 11.884
Pr Nd Mg
3 8 1
Direct
0.000 0.000 0.000
0.115 0.227 0.511
0.387 0.776 0.755
0.053 0.108 0.751
0.273 0.548 0.254
0.337 0.673 0.016
0.445 0.889 0.491
0.600 0.200 0.258
0.665 0.331 0.007
0.724 0.449 0.762
0.779 0.557 0.500
0.940 0.881 0.255
```

---

Calculated powder X-ray diffraction pattern
Compound: Ba2Zn6GaNi
Radiation: CuKα
Structure: a crystal structure in Alexandria, relaxed with PBE

Most intense lines, 2θ = 10–90°, sorted by position:
2θ = 25.7°, d 3.462, I 39
2θ = 25.8°, d 3.454, I 19
2θ = 31.7°, d 2.824, I 100
2θ = 36.6°, d 2.454, I 38
2θ = 36.8°, d 2.442, I 75
2θ = 52.9°, d 1.730, I 38
2θ = 53.0°, d 1.727, I 25
2θ = 63.1°, d 1.474, I 19

Structural model:
```
Ba2Zn6GaNi
1.0
4.887 -4.881 0.000
4.887 4.881 0.000
-4.876 0.000 4.908
Ba Zn Ga Ni
2 6 1 1
Direct
0.250 0.750 0.000
0.750 0.250 0.000
0.238 0.238 0.976
0.239 0.239 0.500
0.239 0.761 0.500
0.761 0.239 0.500
0.761 0.761 0.500
0.762 0.762 0.024
0.500 0.500 0.500
0.000 0.000 0.500
```

---

Calculated powder X-ray diffraction pattern
Compound: Mn2Ni2Ag
Radiation: CuKα
Structure: a crystal structure in Alexandria, relaxed with PBE

Most intense lines, 2θ = 10–90°, sorted by position:
2θ = 36.3°, d 2.474, I 22
2θ = 37.0°, d 2.430, I 16
2θ = 40.8°, d 2.213, I 100
2θ = 41.4°, d 2.181, I 37
2θ = 43.5°, d 2.083, I 93
2θ = 52.8°, d 1.734, I 24
2θ = 81.6°, d 1.180, I 23
2θ = 81.8°, d 1.178, I 16

Structural model:
```
Mn2Ni2Ag
1.0
6.998 0.000 0.000
0.000 6.998 0.000
0.000 0.000 2.790
Mn Ni Ag
4 4 2
Direct
0.161 0.339 0.000
0.339 0.839 0.000
0.661 0.161 0.000
0.839 0.661 0.000
0.132 0.632 0.500
0.368 0.132 0.500
0.632 0.868 0.500
0.868 0.368 0.500
0.000 0.000 0.500
0.500 0.500 0.500
```

---

Calculated powder X-ray diffraction pattern
Compound: Ac8ZnAu2
Radiation: CuKα
Structure: a crystal structure in Alexandria, relaxed with PBE

Most intense lines, 2θ = 10–90°, sorted by position:
2θ = 26.5°, d 3.361, I 60
2θ = 27.9°, d 3.201, I 72
2θ = 28.2°, d 3.168, I 58
2θ = 28.7°, d 3.111, I 100
2θ = 29.3°, d 3.045, I 35
2θ = 31.1°, d 2.879, I 36
2θ = 31.8°, d 2.810, I 86
2θ = 60.8°, d 1.524, I 30

Structural model:
```
Ac8ZnAu2
1.0
10.040 -2.810 0.000
10.040 2.810 0.000
-2.235 0.000 7.179
Ac Zn Au
8 1 2
Direct
0.027 0.027 0.282
0.199 0.199 0.845
0.329 0.329 0.508
0.409 0.409 0.035
0.591 0.591 0.965
0.671 0.671 0.492
0.801 0.801 0.155
0.973 0.973 0.718
0.500 0.500 0.500
0.177 0.177 0.243
0.823 0.823 0.757
```

---

Calculated powder X-ray diffraction pattern
Compound: Ba2CeGa2S6
Radiation: CuKα
Structure: a crystal structure in Alexandria, relaxed with PBE

Most intense lines, 2θ = 10–90°, sorted by position:
2θ = 17.0°, d 5.224, I 28
2θ = 25.1°, d 3.543, I 100
2θ = 26.7°, d 3.341, I 36
2θ = 31.5°, d 2.842, I 24
2θ = 34.3°, d 2.612, I 38
2θ = 35.3°, d 2.545, I 49
2θ = 35.8°, d 2.510, I 27
2θ = 45.9°, d 1.975, I 24

Structural model:
```
Ba2CeGa2S6
1.0
5.694 -3.549 0.000
5.694 3.549 0.000
-3.266 0.000 7.493
Ba Ce Ga S
2 1 2 6
Direct
0.197 0.197 0.167
0.803 0.803 0.833
0.000 0.000 0.500
0.464 0.464 0.631
0.536 0.536 0.369
0.182 0.712 0.200
0.249 0.249 0.576
0.288 0.818 0.800
0.712 0.182 0.200
0.751 0.751 0.424
0.818 0.288 0.800
```

---

Calculated powder X-ray diffraction pattern
Compound: K2RbZnH5
Radiation: CuKα
Structure: a crystal structure in Alexandria, relaxed with PBE

Most intense lines, 2θ = 10–90°, sorted by position:
2θ = 23.5°, d 3.780, I 21
2θ = 27.5°, d 3.242, I 15
2θ = 28.3°, d 3.150, I 100
2θ = 31.4°, d 2.850, I 25
2θ = 33.5°, d 2.673, I 27
2θ = 37.2°, d 2.420, I 17
2θ = 46.6°, d 1.950, I 21
2θ = 54.0°, d 1.698, I 15

Structural model:
```
K2RbZnH5
1.0
-3.780 3.780 5.700
3.780 -3.780 5.700
3.780 3.780 -5.700
K Rb Zn H
4 2 2 10
Direct
0.179 0.679 0.859
0.321 0.179 0.500
0.679 0.821 0.500
0.821 0.321 0.141
0.250 0.250 0.000
0.750 0.750 0.000
0.250 0.750 0.500
0.750 0.250 0.500
0.000 0.000 0.000
0.037 0.786 0.500
0.214 0.714 0.251
0.286 0.537 0.500
0.463 0.963 0.749
0.500 0.500 0.000
0.537 0.037 0.251
0.714 0.463 0.500
0.786 0.286 0.749
0.963 0.214 0.500
```